Diffraction record for Na8B13C3. The powder diffraction line list is calculated, not measured: it uses DFT lattice parameters and positions (PBE) and a wavelength of 1.5418 Å.

The 10 most intense peaks (10 to 90 degrees two-theta), by angle:
- hkl 0 0 2, 2θ 34.99, I = 10
- hkl 1 0 1, 2θ 35.37, I = 19
- hkl 0 4 2, 2θ 40.93, I = 49
- hkl 1 4 1, 2θ 41.27, I = 100
- hkl 0 8 0, 2θ 41.85, I = 36
- hkl 1 8 1, 2θ 55.93, I = 10
- hkl 1 0 3, 2θ 63.00, I = 18
- hkl 2 0 0, 2θ 63.75, I = 9
- hkl 1 12 1, 2θ 76.04, I = 12
- hkl 1 8 3, 2θ 78.56, I = 28

Atomic structure:
Lattice parameters (Å, degrees): 2.9198 17.2669 5.1290 90.00 90.00 90.00
Sites, in units of the cell vectors:
Na 0.0000 0.1221 0.0000
Na 0.0000 0.3737 0.9940
Na 0.0000 0.6263 0.9940
Na 0.0000 0.8779 0.0000
Na 0.5000 0.1221 0.4936
Na 0.5000 0.3750 0.4990
Na 0.5000 0.6250 0.4990
Na 0.5000 0.8779 0.4936
B 0.0000 0.0000 0.3283
B 0.0000 0.2428 0.6626
B 0.0000 0.2540 0.3321
B 0.0000 0.5000 0.3190
B 0.0000 0.5000 0.6526
B 0.0000 0.7460 0.3321
B 0.0000 0.7572 0.6626
B 0.5000 0.0000 0.8279
B 0.5000 0.2428 0.8328
B 0.5000 0.2540 0.1621
B 0.5000 0.5000 0.8602
B 0.5000 0.7460 0.1621
B 0.5000 0.7572 0.8328
C 0.0000 0.0000 0.6627
C 0.5000 0.0000 0.1626
C 0.5000 0.5000 0.1622